Theoretical powder XRD pattern of NaFe7P6O24 for a wavelength of 1.5418 Å, from a GGA+U-relaxed structure.
Intensities are scaled so that the largest is 100.

Crystal structure
```
data_NaFe7P6O24
_chemical_formula_sum 'Na1 Fe7 P6 O24'
_symmetry_space_group_name_H-M 'P -1'
_symmetry_Int_Tables_number 2
_cell_length_a 6.4984
_cell_length_b 8.0907
_cell_length_c 9.4737
_cell_angle_alpha 105.28
_cell_angle_beta 108.10
_cell_angle_gamma 101.67
loop_
_symmetry_equiv_pos_as_xyz
'x,y,z'
'-x,-y,-z'
loop_
_atom_site_label
_atom_site_type_symbol
_atom_site_fract_x
_atom_site_fract_y
_atom_site_fract_z
Na1 Na 0.0000 0.0000 0.0000
Fe1 Fe 0.1080 0.5428 0.8911
Fe2 Fe 0.2153 0.1922 0.7069
Fe3 Fe 0.4621 0.2801 0.4725
Fe4 Fe 0.5000 0.0000 0.0000
P1 P 0.0983 0.7711 0.6342
P2 P 0.2749 0.8519 0.2363
P3 P 0.4134 0.4085 0.1695
O1 O 0.0484 0.7360 0.2293
O2 O 0.0513 0.6413 0.7188
O3 O 0.1329 0.2359 0.4899
O4 O 0.2005 0.4599 0.0875
O5 O 0.2149 0.9664 0.7639
O6 O 0.2515 0.7295 0.5433
O7 O 0.2700 0.8081 0.0629
O8 O 0.2906 0.0505 0.2964
O9 O 0.3738 0.4685 0.8347
O10 O 0.3786 0.2100 0.0845
O11 O 0.4386 0.4502 0.3475
O12 O 0.4812 0.8127 0.3439
```

Peak list (10 most intense, 2θ from 10° to 90°, by intensity)
| (hkl) | 2theta | d [Å] | Rel. int. |
| --- | --- | --- | --- |
| 0 2 1 | 29.5 | 3.028 | 100 |
| 0 1 -3 | 29.8 | 3.000 | 68 |
| 2 1 -1 | 32.8 | 2.729 | 31 |
| 1 -2 2 | 30.4 | 2.937 | 28 |
| 2 0 -1 | 28.1 | 3.179 | 25 |
| -2 1 2 | 31.3 | 2.862 | 21 |
| 1 -1 1 | 20.1 | 4.413 | 20 |
| 2 -1 0 | 29.0 | 3.075 | 20 |
| 0 3 -2 | 35.0 | 2.561 | 18 |
| 3 -3 2 | 56.6 | 1.625 | 17 |